(1)
The following is a computed powder X-ray diffraction pattern of Ba3UIn2O9. It was derived from the GGA-PBE geometry in the Materials Project, using Cu Kα (weighted mean of Kα1 and Kα2).

Atomic structure:
Unit cell a=6.0913 b=6.0913 c=7.5173 alpha=90.00 beta=90.00 gamma=120.00
Space group P-3m1 (No. 164)
Inequivalent atoms, fractional coordinates:
Ba: 0.0000 0.0000 0.0000
Ba: 0.3333 0.6667 0.6991
U: 0.0000 0.0000 0.5000
In: 0.3333 0.6667 0.1630
O: 0.0000 0.5000 0.0000
O: 0.1623 0.3247 0.3394

Main lines, by angle (15° ≤ 2θ ≤ 90°):
- 20.57 deg, I = 15, (0 1 1)
- 29.17 deg, I = 100, (0 1 2)
- 29.32 deg, I = 98, (1 1 0)
- 41.84 deg, I = 57, (2 0 2)
- 51.63 deg, I = 17, (1 0 4)
- 51.94 deg, I = 61, (3 0 0)
- 60.49 deg, I = 15, (0 2 4)
- 60.83 deg, I = 18, (2 2 0)
- 68.63 deg, I = 15, (2 1 4)
- 68.86 deg, I = 18, (3 1 2)
- 76.56 deg, I = 9, (0 4 2)
- 84.05 deg, I = 22, (4 1 0)

=====

(2)
The following is a computed powder X-ray diffraction pattern of Ba3In2P4. It was derived from the GGA-PBE geometry in the Materials Project, using Cu Kα (weighted mean of Kα1 and Kα2).

Atomic structure:
Unit cell a=14.145 b=10.981 c=7.177 alpha=90.00 beta=90.15 gamma=90.00
Space group C2/c (No. 15)
Inequivalent atoms, fractional coordinates:
Ba: 0.000 0.098 0.250
Ba: 0.124 0.371 0.545
In: 0.203 0.123 0.915
P: 0.116 0.325 0.027
P: 0.158 0.085 0.569

Main lines, by angle (15° ≤ 2θ ≤ 90°):
- 23.98 deg, I = 100, (2 2 1)
- 24.81 deg, I = 11, (0 0 2)
- 26.87 deg, I = 28, (1 1 -2)
- 27.90 deg, I = 11, (2 0 2)
- 32.61 deg, I = 31, (0 4 0)
- 32.69 deg, I = 23, (5 1 0)
- 33.39 deg, I = 26, (3 3 -1)
- 35.64 deg, I = 32, (4 0 2)
- 40.29 deg, I = 10, (5 3 0)
- 45.77 deg, I = 9, (1 3 3)
- 49.10 deg, I = 13, (4 4 2)
- 53.26 deg, I = 10, (2 6 1)